For CaLa, a cell relaxed with PBE gives the computed X-ray powder pattern in this record (Cu Kα).

Top 10 peaks for 2θ from 10° to 80°, low angle first:
2θ 14.06, I = 34.5
2θ 27.26, I = 38.1
2θ 28.33, I = 25.4
2θ 30.80, I = 100.0
2θ 39.73, I = 28.0
2θ 48.19, I = 17.1
2θ 51.73, I = 22.7
2θ 56.84, I = 20.6
2θ 58.29, I = 15.8
2θ 78.91, I = 12.8

```
data_CaLa
_cell_length_a 3.7770
_cell_length_b 3.7770
_cell_length_c 6.3000
_cell_angle_alpha 90.00
_cell_angle_beta 90.00
_cell_angle_gamma 120.00
_space_group_name_H-M_alt 'P -6 m 2'
_space_group_IT_number 187
_space_group_name_Hall 'P -6 2'
loop_
_atom_site_label
_atom_site_type_symbol
_atom_site_fract_x
_atom_site_fract_y
_atom_site_fract_z
_atom_site_occupancy
Ca1 Ca 0.0000 0.0000 0.0000 1
La1 La 0.6667 0.3333 0.5000 1
```



For CaLaMg6, a cell relaxed with PBE gives the computed X-ray powder pattern in this record (Cu Kα).

Top 10 peaks for 2θ from 10° to 80°, low angle first:
2θ 14.40, I = 35.1
2θ 15.58, I = 25.6
2θ 16.56, I = 24.7
2θ 22.01, I = 26.7
2θ 22.82, I = 26.1
2θ 29.02, I = 26.7
2θ 31.44, I = 28.9
2θ 33.48, I = 30.1
2θ 33.60, I = 100.0
2θ 35.76, I = 32.5

```
data_CaLaMg6
_cell_length_a 5.3527
_cell_length_b 7.3164
_cell_length_c 11.3719
_cell_angle_alpha 90.00
_cell_angle_beta 90.00
_cell_angle_gamma 90.00
_space_group_name_H-M_alt 'A m m 2'
_space_group_IT_number 38
loop_
_space_group_symop_operation_xyz
'x,y,z'
'-x,-y,z'
'-x,y,z'
'x,-y,z'
'x,y+1/2,z+1/2'
'-x,-y+1/2,z+1/2'
'-x,y+1/2,z+1/2'
'x,-y+1/2,z+1/2'
loop_
_atom_site_label
_atom_site_type_symbol
_atom_site_fract_x
_atom_site_fract_y
_atom_site_fract_z
_atom_site_occupancy
Ca1 Ca 0.0000 0.0000 0.0000 1
La1 La 0.0000 0.0000 0.4932 1
Mg1 Mg 0.0000 0.2433 0.7537 1
Mg2 Mg 0.5000 0.0000 0.1853 1
Mg3 Mg 0.5000 0.0000 0.6808 1
Mg4 Mg 0.5000 0.2490 0.9193 1
```



For CaLaMg14, a cell relaxed with PBE gives the computed X-ray powder pattern in this record (Cu Kα).

Top 10 peaks for 2θ from 10° to 80°, low angle first:
2θ 15.23, I = 26.3
2θ 17.45, I = 22.0
2θ 22.89, I = 24.4
2θ 30.73, I = 28.0
2θ 34.38, I = 23.6
2θ 35.32, I = 100.0
2θ 46.78, I = 18.5
2θ 54.62, I = 22.6
2θ 62.19, I = 18.3
2θ 66.17, I = 19.4

```
data_CaLaMg14
_cell_length_a 6.7193
_cell_length_b 6.7193
_cell_length_c 10.4342
_cell_angle_alpha 90.00
_cell_angle_beta 90.00
_cell_angle_gamma 120.00
_space_group_name_H-M_alt 'P -6 m 2'
_space_group_IT_number 187
_space_group_name_Hall 'P -6 2'
loop_
_atom_site_label
_atom_site_type_symbol
_atom_site_fract_x
_atom_site_fract_y
_atom_site_fract_z
_atom_site_occupancy
Ca1 Ca 0.0000 0.0000 0.0000 1
La1 La 0.0000 0.0000 0.5000 1
Mg1 Mg 0.0045 0.5023 0.0000 1
Mg2 Mg 0.0069 0.5035 0.5000 1
Mg3 Mg 0.1715 0.3431 0.2491 1
Mg4 Mg 0.6667 0.3333 0.2515 1
```



For CaLaMg14, a cell relaxed with PBE gives the computed X-ray powder pattern in this record (Cu Kα).

Top 10 peaks for 2θ from 10° to 80°, low angle first:
2θ 15.38, I = 27.5
2θ 17.54, I = 42.3
2θ 22.84, I = 24.9
2θ 31.12, I = 26.8
2θ 33.94, I = 36.4
2θ 35.43, I = 49.1
2θ 35.57, I = 100.0
2θ 55.19, I = 17.4
2θ 61.80, I = 18.2
2θ 66.40, I = 19.0

```
data_CaLaMg14
_cell_length_a 10.5639
_cell_length_b 6.6259
_cell_length_c 11.5479
_cell_angle_alpha 90.00
_cell_angle_beta 90.00
_cell_angle_gamma 90.00
_space_group_name_H-M_alt 'A m m 2'
_space_group_IT_number 38
loop_
_space_group_symop_operation_xyz
'x,y,z'
'-x,-y,z'
'-x,y,z'
'x,-y,z'
'x,y+1/2,z+1/2'
'-x,-y+1/2,z+1/2'
'-x,y+1/2,z+1/2'
'x,-y+1/2,z+1/2'
loop_
_atom_site_label
_atom_site_type_symbol
_atom_site_fract_x
_atom_site_fract_y
_atom_site_fract_z
_atom_site_occupancy
Ca1 Ca 0.0000 0.0000 0.0000 1
La1 La 0.0000 0.0000 0.4999 1
Mg1 Mg 0.0000 0.2458 0.7543 1
Mg2 Mg 0.2524 0.0000 0.1722 1
Mg3 Mg 0.2556 0.0000 0.6724 1
Mg4 Mg 0.2622 0.2494 0.9168 1
Mg5 Mg 0.5000 0.0000 0.0037 1
Mg6 Mg 0.5000 0.0000 0.5036 1
Mg7 Mg 0.5000 0.2498 0.2522 1
```



For CaLaMg6, a cell relaxed with PBE gives the computed X-ray powder pattern in this record (Cu Kα).

Top 10 peaks for 2θ from 10° to 80°, low angle first:
2θ 14.84, I = 57.1
2θ 15.01, I = 19.0
2θ 22.28, I = 38.4
2θ 22.39, I = 26.1
2θ 29.94, I = 23.6
2θ 31.01, I = 23.1
2θ 33.41, I = 33.3
2θ 34.38, I = 100.0
2θ 34.69, I = 39.9
2θ 53.56, I = 21.9

```
data_CaLaMg6
_cell_length_a 5.3643
_cell_length_b 6.9191
_cell_length_c 11.8057
_cell_angle_alpha 90.00
_cell_angle_beta 90.00
_cell_angle_gamma 90.00
_space_group_name_H-M_alt 'A m m 2'
_space_group_IT_number 38
loop_
_space_group_symop_operation_xyz
'x,y,z'
'-x,-y,z'
'-x,y,z'
'x,-y,z'
'x,y+1/2,z+1/2'
'-x,-y+1/2,z+1/2'
'-x,y+1/2,z+1/2'
'x,-y+1/2,z+1/2'
loop_
_atom_site_label
_atom_site_type_symbol
_atom_site_fract_x
_atom_site_fract_y
_atom_site_fract_z
_atom_site_occupancy
Ca1 Ca 0.0000 0.0000 0.0000 1
La1 La 0.5000 0.0000 0.1842 1
Mg1 Mg 0.0000 0.0000 0.5079 1
Mg2 Mg 0.0000 0.2464 0.7587 1
Mg3 Mg 0.5000 0.0000 0.6786 1
Mg4 Mg 0.5000 0.2496 0.4254 1
```